The following is a theoretical powder diffraction line list of Li7RuO6. It was derived from the GGA-PBE geometry in the Materials Project, using CuKα.

Structure:
```
Li7RuO6
1.0
5.3564 0.0000 0.0000
-2.6729 4.7311 0.0000
-2.5554 -1.5424 5.0182
Li Ru O
7 1 6
Cartesian
0.0000 0.0000 0.0000
-3.1724 3.3694 2.0848
-1.7298 0.0800 3.6424
0.3649 3.5128 0.0559
1.8462 0.0212 1.8939
2.7324 1.6464 0.0252
1.2928 1.6872 3.6976
-0.7076 1.7799 1.9287
-1.5524 3.2095 0.6976
-2.3074 1.8069 3.0906
0.8549 1.6688 0.6328
0.1107 0.3557 3.0608
0.2335 3.1535 3.0222
3.7501 0.3110 0.9116
```

Peak list (8 most intense, 10 to 90 degrees two-theta, low angle first)
17.7 deg, d = 5.018 Å, I = 960
19.6 deg, d = 4.522 Å, I = 758
19.8 deg, d = 4.473 Å, I = 691
20.1 deg, d = 4.422 Å, I = 616
22.2 deg, d = 4.002 Å, I = 1000
22.6 deg, d = 3.929 Å, I = 567
37.5 deg, d = 2.396 Å, I = 388
38.5 deg, d = 2.337 Å, I = 441

The following is a theoretical powder diffraction line list of GeSb4Te4. It was derived from the GGA-PBE geometry in the Materials Project, using CuKα.

Structure:
```
GeSb4Te4
1.0
4.3342 0.0000 0.0000
-2.1671 3.7536 0.0000
0.0000 0.0000 17.3673
Ge Sb Te
1 4 4
Cartesian
0.0000 0.0000 0.0000
0.0000 2.5024 3.7203
0.0000 2.5024 9.4569
2.1671 1.2512 7.9105
2.1671 1.2512 13.6471
0.0000 0.0000 5.4321
0.0000 0.0000 11.9352
0.0000 2.5024 15.6618
2.1671 1.2512 1.7055
```

Peak list (8 most intense, 10 to 90 degrees two-theta, low angle first)
28.3 deg, d = 3.149 Å, I = 1000
39.3 deg, d = 2.292 Å, I = 344
41.7 deg, d = 2.167 Å, I = 384
51.2 deg, d = 1.785 Å, I = 191
58.6 deg, d = 1.575 Å, I = 127
64.7 deg, d = 1.441 Å, I = 106
68.0 deg, d = 1.378 Å, I = 160
74.5 deg, d = 1.274 Å, I = 103

The following is a theoretical powder diffraction line list of SnP3O9. It was derived from the GGA-PBE geometry in the Materials Project, using CuKα.

Structure:
```
SnP3O9
1.0
5.5533 0.0000 0.0000
0.0000 10.6273 0.0000
0.0000 0.0000 11.9235
Sn P O
4 12 36
Cartesian
0.6093 1.2027 1.1766
2.1673 9.4246 7.1383
3.3860 4.1110 10.7469
4.9440 6.5163 4.7852
0.5419 2.3285 9.7666
0.6218 6.1481 10.3848
0.6823 9.0781 10.2452
2.0944 1.5492 4.2835
2.1548 4.4792 4.4231
2.2348 8.2988 3.8049
3.3185 2.9851 2.1569
3.3985 9.7928 1.5386
3.4589 6.8628 1.6783
4.8710 3.7644 7.6400
4.9315 0.8345 7.5004
5.0114 7.6422 8.1186
0.1882 10.5339 6.6341
0.2505 10.0953 11.2267
0.3173 1.0567 8.8102
0.5401 3.5197 8.6945
0.6371 7.7183 7.1508
0.7132 7.6277 11.0113
0.7679 4.9326 4.0243
0.8560 1.4049 3.4139
0.8749 8.3256 4.4463
1.9017 2.3017 10.4081
1.9207 9.2223 9.3756
2.0088 5.6947 9.9861
2.0635 2.9995 5.0496
2.1395 2.9089 1.1891
2.2365 7.1075 2.7328
2.4593 9.5706 2.8485
2.5262 0.5320 5.2650
2.5884 0.0934 0.6724
2.9649 5.4070 5.2894
3.0271 5.8456 0.6968
3.0940 4.2570 3.1133
3.3168 1.7939 3.2290
3.4138 8.2226 4.7727
3.4898 8.3132 0.9122
3.5445 0.3810 7.8992
3.6326 3.9087 8.5096
3.6516 7.6154 7.4772
4.6784 3.0119 1.5154
4.6973 6.7186 2.5479
4.7854 10.2462 1.9374
4.8401 2.3141 6.8739
4.9162 2.4047 10.7344
5.0132 8.8334 9.1907
5.2360 6.3703 9.0750
5.3028 4.7817 6.6585
5.3651 5.2203 11.2511
```

Peak list (8 most intense, 10 to 90 degrees two-theta, low angle first)
11.2 deg, d = 7.933 Å, I = 612
17.1 deg, d = 5.199 Å, I = 1000
19.5 deg, d = 4.549 Å, I = 665
23.2 deg, d = 3.839 Å, I = 523
23.4 deg, d = 3.796 Å, I = 602
30.0 deg, d = 2.983 Å, I = 505
30.9 deg, d = 2.897 Å, I = 492
33.6 deg, d = 2.670 Å, I = 564

The following is a theoretical powder diffraction line list of MnTl2SnTe4. It was derived from the GGA-PBE geometry in the Materials Project, using CuKα.

Structure:
```
MnTl2SnTe4
1.0
-4.3397 4.3397 3.5504
4.3397 -4.3397 3.5504
4.3397 4.3397 -3.5504
Mn Tl Sn Te
1 2 1 4
Cartesian
0.0000 0.0000 0.0000
4.3397 0.0000 0.0000
0.0000 4.3397 0.0000
0.0000 0.0000 3.5504
1.5280 -1.5280 1.7490
-1.5280 1.5280 1.7490
2.8117 2.8117 1.8015
1.5280 1.5280 5.3519
```

Peak list (8 most intense, 10 to 90 degrees two-theta, low angle first)
26.2 deg, d = 3.406 Å, I = 486
29.1 deg, d = 3.070 Å, I = 544
32.6 deg, d = 2.747 Å, I = 1000
44.9 deg, d = 2.019 Å, I = 269
46.8 deg, d = 1.941 Å, I = 168
49.2 deg, d = 1.851 Å, I = 171
51.5 deg, d = 1.774 Å, I = 225
60.3 deg, d = 1.536 Å, I = 192

The following is a theoretical powder diffraction line list of CaCu9Sn4. It was derived from the GGA-PBE geometry in the Materials Project, using CuKα.

Structure:
```
CaCu9Sn4
1.0
-4.3352 4.3352 6.2299
4.3352 -4.3352 6.2299
4.3352 4.3352 -6.2299
Ca Cu Sn
2 18 8
Cartesian
0.0000 0.0000 3.1149
0.0000 0.0000 9.3448
4.3352 0.0000 0.0000
6.9247 0.4783 0.0000
3.3995 -0.9357 2.1696
0.4783 1.7457 0.0000
5.2709 -0.9357 4.0603
5.2709 0.9357 2.1696
4.8135 2.5895 0.0000
3.3995 0.9357 4.0603
2.5895 3.8569 0.0000
0.0000 4.3352 0.0000
1.7457 0.4783 6.2299
0.9357 3.3995 2.1696
-0.4783 1.7457 6.2299
-0.9357 3.3995 4.0603
-0.9357 5.2709 2.1696
3.8569 2.5895 6.2299
0.9357 5.2709 4.0603
-2.5895 3.8569 6.2299
2.7235 1.6117 -1.5769
2.7235 -1.6117 4.6530
2.7235 1.6117 1.5769
2.7235 -1.6117 7.8068
1.6117 5.9469 -1.5769
1.6117 2.7235 4.6530
1.6117 5.9469 1.5769
1.6117 2.7235 7.8068
```

Peak list (8 most intense, 10 to 90 degrees two-theta, low angle first)
14.4 deg, d = 6.131 Å, I = 520
35.5 deg, d = 2.530 Å, I = 586
35.8 deg, d = 2.510 Å, I = 413
43.2 deg, d = 2.096 Å, I = 583
43.5 deg, d = 2.080 Å, I = 919
43.7 deg, d = 2.074 Å, I = 1000
44.0 deg, d = 2.058 Å, I = 370
44.3 deg, d = 2.044 Å, I = 446

The following is a theoretical powder diffraction line list of DySn2. It was derived from the GGA-PBE geometry in the Materials Project, using CuKα.

Structure:
```
DySn2
1.0
2.2269 -8.1041 0.0000
2.2269 8.1041 0.0000
0.0000 0.0000 4.3699
Dy Sn
2 4
Cartesian
2.2269 6.5326 3.2774
2.2269 -6.5326 1.0925
2.2269 4.0306 1.0925
2.2269 1.0717 3.2774
2.2269 -1.0717 1.0925
2.2269 -4.0306 3.2774
```

Peak list (8 most intense, 10 to 90 degrees two-theta, low angle first)
33.2 deg, d = 2.701 Å, I = 1000
40.5 deg, d = 2.227 Å, I = 128
41.3 deg, d = 2.185 Å, I = 121
53.3 deg, d = 1.718 Å, I = 92
59.2 deg, d = 1.560 Å, I = 183
69.0 deg, d = 1.360 Å, I = 103
69.6 deg, d = 1.351 Å, I = 97
70.2 deg, d = 1.341 Å, I = 99

The following is a theoretical powder diffraction line list of GaTeI7. It was derived from the GGA-PBE geometry in the Materials Project, using CuKα.

Structure:
```
GaTeI7
1.0
7.7019 0.0000 0.0000
0.0000 7.4358 0.0000
-4.3329 0.0000 16.4171
Ga Te I
2 2 14
Cartesian
0.0000 0.0296 0.0000
-2.1664 7.4062 8.2086
1.8413 2.9910 13.9096
4.0077 4.4448 5.7010
-2.0092 2.5316 8.3431
0.1572 4.9043 0.1346
-3.2315 0.9370 14.2272
-1.0650 6.4988 6.0186
1.2014 1.0934 2.0427
-0.9650 6.3424 10.2512
1.7659 2.8722 6.1363
-0.4005 4.5636 14.3449
0.6327 1.2365 12.0952
2.7991 6.1994 3.8866
0.9189 0.9309 16.4151
3.0854 6.5049 8.2065
5.3521 2.8929 3.8420
3.1857 4.5430 12.0506
```

Peak list (8 most intense, 10 to 90 degrees two-theta, low angle first)
13.9 deg, d = 6.386 Å, I = 740
16.1 deg, d = 5.511 Å, I = 487
21.6 deg, d = 4.106 Å, I = 882
24.5 deg, d = 3.626 Å, I = 786
25.5 deg, d = 3.491 Å, I = 1000
26.1 deg, d = 3.418 Å, I = 904
29.4 deg, d = 3.043 Å, I = 703
33.5 deg, d = 2.674 Å, I = 477